# NaCNO
Computed X-ray diffraction stick pattern, Cu Kα (weighted mean of Kα1 and Kα2). Input: the PBE geometry in the Materials Project.

Principal peaks in the range 5 to 70 degrees two-theta, by angle:
| Position (°2θ) | d_spacing | Rel. int. |
| --- | --- | --- |
| 17.51 | 5.065 | 4 |
| 28.68 | 3.113 | 9 |
| 30.47 | 2.934 | 100 |
| 36.86 | 2.439 | 11 |
| 41.08 | 2.197 | 22 |
| 49.65 | 1.836 | 31 |
| 50.93 | 1.793 | 13 |
| 53.05 | 1.726 | 3 |
| 59.38 | 1.557 | 10 |
| 63.41 | 1.467 | 2 |
| 66.34 | 1.409 | 4 |
| 68.43 | 1.371 | 4 |

Structure:
a b c (Å): 5.4908 5.4908 5.4908
angles (deg): 39.08 39.08 39.08
Positions (direct):
Na  0.0000  0.0000  0.0000
C  0.5045  0.5045  0.5045
N  0.5830  0.5830  0.5830
O  0.4235  0.4235  0.4235